Diffraction record for BaPbF5. The powder diffraction line list is computed, not measured: it uses a crystal structure in Alexandria, relaxed with GGA-PBE and CuKα.
Neutral-atom scattering factors, no anomalous dispersion.

Cell and atoms:
```
BaPbF5
1.0
4.0007 0.0000 0.0000
0.0000 4.0007 0.0000
0.0000 0.0000 6.7809
Ba Pb F
1 1 5
direct
0.0000 0.0000 0.0000
0.5000 0.5000 0.5000
0.0000 0.5000 0.3093
0.0000 0.5000 0.6907
0.5000 0.0000 0.3093
0.5000 0.0000 0.6907
0.5000 0.5000 0.0000
```

Peak list (10 most intense, 2θ from 15° to 90°, by angle)
- 2θ = 25.86°, intensity 100
- 2θ = 26.29°, intensity 21
- 2θ = 31.63°, intensity 23
- 2θ = 41.58°, intensity 49
- 2θ = 45.34°, intensity 21
- 2θ = 46.13°, intensity 22
- 2θ = 52.93°, intensity 29
- 2θ = 53.16°, intensity 13
- 2θ = 66.67°, intensity 15
- 2θ = 81.14°, intensity 13

***

Diffraction record for Er2CoI. The powder diffraction line list is computed, not measured: it uses a crystal structure in Alexandria, relaxed with GGA-PBE and CuKα.
Neutral-atom scattering factors, no anomalous dispersion.

Cell and atoms:
```
Er2CoI
1.0
1.9993 1.1543 8.7163
-1.9993 1.1543 8.7163
0.0000 -2.3086 8.7163
Er Co I
2 1 1
direct
0.1151 0.1151 0.1151
0.8849 0.8849 0.8849
0.5000 0.5000 0.5000
0.0000 0.0000 0.0000
```

Peak list (10 most intense, 2θ from 15° to 90°, by angle)
- 2θ = 25.95°, intensity 100
- 2θ = 26.63°, intensity 52
- 2θ = 30.77°, intensity 33
- 2θ = 30.97°, intensity 35
- 2θ = 37.85°, intensity 88
- 2θ = 43.36°, intensity 38
- 2θ = 45.36°, intensity 62
- 2θ = 55.82°, intensity 38
- 2θ = 60.51°, intensity 22
- 2θ = 78.76°, intensity 21

***

Diffraction record for HfThPd6. The powder diffraction line list is computed, not measured: it uses a crystal structure in Alexandria, relaxed with GGA-PBE and CuKα.
Neutral-atom scattering factors, no anomalous dispersion.

Cell and atoms:
```
HfThPd6
1.0
4.1388 0.0000 0.0000
0.0000 4.1388 0.0000
0.0000 0.0000 8.1542
Hf Th Pd
1 1 6
direct
0.0000 0.0000 0.0000
0.0000 0.0000 0.5000
0.0000 0.5000 0.2379
0.0000 0.5000 0.7621
0.5000 0.0000 0.2379
0.5000 0.0000 0.7621
0.5000 0.5000 0.0000
0.5000 0.5000 0.5000
```

Peak list (10 most intense, 2θ from 15° to 90°, by angle)
- 2θ = 21.47°, intensity 6
- 2θ = 30.78°, intensity 5
- 2θ = 37.84°, intensity 100
- 2θ = 43.74°, intensity 34
- 2θ = 44.44°, intensity 15
- 2θ = 63.58°, intensity 11
- 2θ = 64.12°, intensity 21
- 2θ = 76.43°, intensity 25
- 2θ = 77.43°, intensity 11
- 2θ = 80.86°, intensity 11